Structure and computed XRD peak list of AsCF3 (a cell relaxed with GGA-PBE; Cu Kα (weighted mean of Kα1 and Kα2)).

Main lines, by angle (2θ = 10–90°):
(1 1 0), 2θ 11.68, intensity 43
(1 0 1), 2θ 15.97, intensity 100
(2 2 0), 2θ 23.49, intensity 33
(3 1 1), 2θ 29.75, intensity 15
(1 1 2), 2θ 29.97, intensity 18
(3 2 1), 2θ 33.16, intensity 17
(2 1 2), 2θ 33.36, intensity 14
(3 3 0), 2θ 35.55, intensity 31
(3 0 2), 2θ 37.47, intensity 46
(4 3 1), 2θ 44.53, intensity 21

Structure:
```
AsCF3
1.0
10.7135 0.0000 0.0000
0.0000 10.7135 0.0000
0.0000 0.0000 6.4873
As C F
8 8 24
direct
0.0945 0.7500 0.1845
0.2500 0.5945 0.3155
0.2500 0.9055 0.3155
0.4055 0.7500 0.1845
0.5945 0.2500 0.8155
0.7500 0.0945 0.6845
0.7500 0.4055 0.6845
0.9055 0.2500 0.8155
0.0110 0.2500 0.5511
0.2500 0.0110 0.0511
0.2500 0.4890 0.0511
0.4890 0.2500 0.5511
0.5110 0.7500 0.4489
0.7500 0.5110 0.9489
0.7500 0.9890 0.9489
0.9890 0.7500 0.4489
0.0540 0.7500 0.6301
0.0866 0.1472 0.5487
0.0866 0.3528 0.5487
0.1472 0.0866 0.0487
0.1472 0.4134 0.0487
0.2500 0.5540 0.8699
0.2500 0.9460 0.8699
0.3528 0.0866 0.0487
0.3528 0.4134 0.0487
0.4134 0.1472 0.5487
0.4134 0.3528 0.5487
0.4460 0.7500 0.6301
0.5540 0.2500 0.3699
0.5866 0.6472 0.4513
0.5866 0.8528 0.4513
0.6472 0.5866 0.9513
0.6472 0.9134 0.9513
0.7500 0.0540 0.1301
0.7500 0.4460 0.1301
0.8528 0.5866 0.9513
0.8528 0.9134 0.9513
0.9134 0.6472 0.4513
0.9134 0.8528 0.4513
0.9460 0.2500 0.3699
```